This entry pairs a crystal structure of PmCoMo2O8 with its simulated powder XRD pattern. Radiation: Cu Kα (weighted mean of Kα1 and Kα2). Structure: a cell relaxed with PBE+U.
Lines closer than 0.1° are merged.

Structural model:
Unit cell a=6.692 b=6.692 c=6.692 alpha=134.46 beta=134.46 gamma=66.37
Sites, in units of the cell vectors:
Pm  0.000  0.000  0.000
Co  0.750  0.250  0.500
Mo  0.250  0.750  0.500
Mo  0.500  0.500  0.000
O  0.072  0.644  0.052
O  0.174  0.241  0.589
O  0.356  0.408  0.428
O  0.415  0.826  0.067
O  0.592  0.020  0.948
O  0.652  0.585  0.411
O  0.759  0.348  0.933
O  0.980  0.928  0.572

The 10 most intense peaks (10 to 90 degrees two-theta), low angle first:
- 2θ = 29.13°, intensity 100
- 2θ = 31.96°, intensity 13
- 2θ = 34.63°, intensity 17
- 2θ = 47.84°, intensity 31
- 2θ = 49.79°, intensity 15
- 2θ = 55.23°, intensity 16
- 2θ = 58.72°, intensity 26
- 2θ = 60.39°, intensity 10
- 2θ = 77.52°, intensity 18
- 2θ = 80.52°, intensity 5